1.
The following is a simulated X-ray powder pattern of Ba2LiTl6Bi. It was derived from a DFT-relaxed cell (GGA-PBE, Alexandria), using Cu Kα (λ = 1.5418 Å).
Neutral-atom scattering factors, no anomalous dispersion.

The 10 most intense peaks (2θ from 10° to 90°), low angle first:
Position (°2θ)  I_rel
15.80  73
28.72  64
29.22  45
31.18  45
31.94  100
33.10  37
33.56  58
33.88  41
34.05  44
37.44  49

Structure:
Cell lengths 6.3212, 7.8556, 8.0481 Å; angles 74.43, 68.84, 67.80 degrees
Fractional positions:
Ba (0.0043, 0.2289, 0.2716)
Ba (0.9957, 0.7711, 0.7284)
Li (0.5000, 0.5000, 0.0000)
Tl (0.0108, 0.6918, 0.2712)
Tl (0.3304, 0.9179, 0.9361)
Tl (0.4872, 0.3266, 0.7058)
Tl (0.5128, 0.6734, 0.2942)
Tl (0.6696, 0.0821, 0.0639)
Tl (0.9892, 0.3082, 0.7288)
Bi (0.5000, 0.0000, 0.5000)

=====

2.
The following is a simulated X-ray powder pattern of PaFeP2Ir2. It was derived from a DFT-relaxed cell (GGA-PBE, Alexandria), using Cu Kα (λ = 1.5418 Å).
Neutral-atom scattering factors, no anomalous dispersion.

The 10 most intense peaks (2θ from 10° to 90°), low angle first:
Position (°2θ)  I_rel
23.99  10
25.62  52
30.18  19
35.42  100
47.23  28
51.81  43
54.50  27
73.40  13
74.94  11
80.03  20

Structure:
Cell lengths 7.4665, 7.4665, 7.4665 Å; angles 150.13, 150.13, 42.76 degrees
Fractional positions:
Pa (0.0000, 0.0000, 0.0000)
Fe (0.5000, 0.5000, 0.0000)
P (0.3471, 0.3471, 0.0000)
P (0.6529, 0.6529, 0.0000)
Ir (0.2500, 0.7500, 0.5000)
Ir (0.7500, 0.2500, 0.5000)

=====

3.
The following is a simulated X-ray powder pattern of KSr2Hg2Bi2. It was derived from a DFT-relaxed cell (GGA-PBE, Alexandria), using Cu Kα (λ = 1.5418 Å).
Neutral-atom scattering factors, no anomalous dispersion.

The 10 most intense peaks (2θ from 10° to 90°), low angle first:
Position (°2θ)  I_rel
17.48  33
21.76  33
27.57  28
32.03  100
34.81  52
36.72  33
41.94  27
48.03  21
57.09  20
58.90  24

Structure:
Cell lengths 10.6496, 10.6496, 10.6496 Å; angles 30.42, 30.42, 30.42 degrees
Fractional positions:
K (0.0000, 0.0000, 0.0000)
Sr (0.1309, 0.1309, 0.1309)
Sr (0.8691, 0.8691, 0.8691)
Hg (0.4468, 0.4468, 0.4468)
Hg (0.5532, 0.5532, 0.5532)
Bi (0.2487, 0.2487, 0.2487)
Bi (0.7513, 0.7513, 0.7513)

=====

4.
The following is a simulated X-ray powder pattern of CaAcPrRu. It was derived from a DFT-relaxed cell (GGA-PBE, Alexandria), using Cu Kα (λ = 1.5418 Å).
Neutral-atom scattering factors, no anomalous dispersion.

The 10 most intense peaks (2θ from 10° to 90°), low angle first:
Position (°2θ)  I_rel
24.68  20
27.47  38
29.02  100
35.03  41
39.87  25
43.10  41
44.16  20
48.00  26
52.07  16
52.80  19

Structure:
Cell lengths 4.1985, 4.1985, 9.9264 Å; angles 102.22, 102.22, 59.97 degrees
Fractional positions:
Ca (0.0000, 0.0000, 0.0000)
Ac (0.2165, 0.2165, 0.6531)
Pr (0.4423, 0.4423, 0.3309)
Ru (0.8283, 0.8283, 0.4889)

=====

5.
The following is a simulated X-ray powder pattern of OF. It was derived from a DFT-relaxed cell (GGA-PBE, Alexandria), using Cu Kα (λ = 1.5418 Å).
Neutral-atom scattering factors, no anomalous dispersion.

The 10 most intense peaks (2θ from 10° to 90°), low angle first:
Position (°2θ)  I_rel
24.34  38
24.94  100
31.71  62
32.85  59
34.12  45
35.21  29
36.33  19
40.31  39
52.57  16
62.69  14

Structure:
Cell lengths 5.6440, 5.9378, 7.3150 Å; angles 90.00, 90.00, 90.00 degrees
Fractional positions:
O (0.0760, 0.0781, 0.0671)
O (0.0882, 0.4561, 0.3976)
O (0.4118, 0.5439, 0.8976)
O (0.4240, 0.9219, 0.5671)
O (0.5760, 0.4219, 0.9329)
O (0.5882, 0.0439, 0.6024)
O (0.9118, 0.9561, 0.1024)
O (0.9240, 0.5781, 0.4329)
F (0.0262, 0.1927, 0.4445)
F (0.0623, 0.1668, 0.8573)
F (0.4377, 0.8332, 0.3573)
F (0.4738, 0.8073, 0.9445)
F (0.5262, 0.3073, 0.5555)
F (0.5623, 0.3332, 0.1427)
F (0.9377, 0.6668, 0.6427)
F (0.9738, 0.6927, 0.0555)

=====

6.
The following is a simulated X-ray powder pattern of La4GaSn3. It was derived from a DFT-relaxed cell (GGA-PBE, Alexandria), using Cu Kα (λ = 1.5418 Å).
Neutral-atom scattering factors, no anomalous dispersion.

The 10 most intense peaks (2θ from 10° to 90°), low angle first:
Position (°2θ)  I_rel
28.54  100
29.25  27
30.04  28
35.77  71
36.44  20
37.61  29
40.95  23
48.86  15
56.80  18
57.54  14

Structure:
Cell lengths 4.4083, 4.7834, 11.8996 Å; angles 90.00, 90.00, 90.00 degrees
Fractional positions:
La (0.0000, 0.0000, 0.0000)
La (0.0000, 0.5000, 0.4892)
La (0.5000, 0.0000, 0.7176)
La (0.5000, 0.5000, 0.2199)
Ga (0.0000, 0.0000, 0.2750)
Sn (0.0000, 0.5000, 0.7686)
Sn (0.5000, 0.0000, 0.4302)
Sn (0.5000, 0.5000, 0.9413)

=====

7.
The following is a simulated X-ray powder pattern of V4Ni2C. It was derived from a DFT-relaxed cell (GGA-PBE, Alexandria), using Cu Kα (λ = 1.5418 Å).
Neutral-atom scattering factors, no anomalous dispersion.

The 10 most intense peaks (2θ from 10° to 90°), low angle first:
Position (°2θ)  I_rel
14.05  9
40.48  29
43.05  100
47.09  18
50.13  15
60.56  6
73.62  28
75.40  5
80.66  6
89.27  18

Structure:
Cell lengths 7.7201, 7.7201, 7.7201 Å; angles 60.00, 60.00, 60.00 degrees
Fractional positions:
V (0.0000, 0.0000, 0.0000)
V (0.0000, 0.0000, 0.5000)
V (0.0000, 0.5000, 0.0000)
V (0.1933, 0.1933, 0.5567)
V (0.1933, 0.5567, 0.1933)
V (0.1933, 0.5567, 0.5567)
V (0.4433, 0.4433, 0.8067)
V (0.4433, 0.8067, 0.4433)
V (0.4433, 0.8067, 0.8067)
V (0.5000, 0.0000, 0.0000)
V (0.5567, 0.1933, 0.1933)
V (0.5567, 0.1933, 0.5567)
V (0.5567, 0.5567, 0.1933)
V (0.8067, 0.4433, 0.4433)
V (0.8067, 0.4433, 0.8067)
V (0.8067, 0.8067, 0.4433)
Ni (0.1216, 0.7928, 0.7928)
Ni (0.2072, 0.2072, 0.2072)
Ni (0.2072, 0.2072, 0.8784)
Ni (0.2072, 0.8784, 0.2072)
Ni (0.7928, 0.1216, 0.7928)
Ni (0.7928, 0.7928, 0.1216)
Ni (0.7928, 0.7928, 0.7928)
Ni (0.8784, 0.2072, 0.2072)
C (0.0000, 0.5000, 0.5000)
C (0.5000, 0.0000, 0.5000)
C (0.5000, 0.5000, 0.0000)
C (0.5000, 0.5000, 0.5000)

=====

8.
The following is a simulated X-ray powder pattern of HoScHgPt. It was derived from a DFT-relaxed cell (GGA-PBE, Alexandria), using Cu Kα (λ = 1.5418 Å).
Neutral-atom scattering factors, no anomalous dispersion.

The 10 most intense peaks (2θ from 10° to 90°), low angle first:
Position (°2θ)  I_rel
26.03  11
28.77  16
35.87  100
37.14  49
49.68  8
53.23  8
53.53  17
63.63  15
66.12  34
76.03  9

Structure:
Cell lengths 3.4238, 3.4238, 7.3404 Å; angles 90.00, 90.00, 90.00 degrees
Fractional positions:
Ho (0.0000, 0.0000, 0.0000)
Sc (0.0000, 0.0000, 0.5527)
Hg (0.5000, 0.5000, 0.2956)
Pt (0.5000, 0.5000, 0.7517)